Entry 1:
The following is a theoretical powder diffractogram of K5Te4. It was derived from DFT lattice parameters and positions (GGA-PBE), using Cu Kα (weighted mean of Kα1 and Kα2).
Peak positions follow from Bragg's law for the DFT cell and can differ from measured ones.

Cell and atoms:
abc: 11.300 11.300 6.741
angles: 90.00 90.00 120.00
Element x y z (fractional)
K (0.000, 0.255, 0.250)
K (0.000, 0.745, 0.750)
K (0.255, 0.000, 0.250)
K (0.255, 0.255, 0.750)
K (0.333, 0.667, 0.000)
K (0.333, 0.667, 0.500)
K (0.667, 0.333, 0.000)
K (0.667, 0.333, 0.500)
K (0.745, 0.000, 0.750)
K (0.745, 0.745, 0.250)
Te (0.000, 0.000, 0.000)
Te (0.000, 0.000, 0.500)
Te (0.000, 0.454, 0.750)
Te (0.000, 0.546, 0.250)
Te (0.454, 0.000, 0.750)
Te (0.454, 0.454, 0.250)
Te (0.546, 0.000, 0.250)
Te (0.546, 0.546, 0.750)

Most intense lines, 5° ≤ 2θ ≤ 70°, low angle first:
two_theta, Rel. int.
18.1, 100
27.3, 13
27.5, 45
30.9, 57
31.7, 33
32.2, 15
35.7, 32
36.1, 24
36.7, 22
50.3, 14



Entry 2:
The following is a theoretical powder diffractogram of NaLi. It was derived from DFT lattice parameters and positions (GGA-PBE), using Cu Kα (weighted mean of Kα1 and Kα2).
Peak positions follow from Bragg's law for the DFT cell and can differ from measured ones.

Cell and atoms:
abc: 3.398 4.739 7.051
angles: 90.00 93.31 90.00
Element x y z (fractional)
Na (0.242, 0.250, 0.353)
Na (0.758, 0.750, 0.647)
Li (0.256, 0.250, 0.898)
Li (0.744, 0.750, 0.102)

Most intense lines, 5° ≤ 2θ ≤ 70°, low angle first:
two_theta, Rel. int.
12.6, 58
22.6, 79
28.5, 20
29.9, 22
31.7, 99
32.5, 100
35.7, 36
37.9, 61
53.1, 22
54.7, 19



Entry 3:
The following is a theoretical powder diffractogram of Ga2CuAg. It was derived from DFT lattice parameters and positions (GGA-PBE), using Cu Kα (weighted mean of Kα1 and Kα2).
Peak positions follow from Bragg's law for the DFT cell and can differ from measured ones.

Cell and atoms:
abc: 7.372 6.455 3.092
angles: 90.00 114.17 90.00
Element x y z (fractional)
Ga (0.192, 0.000, 0.196)
Ga (0.308, 0.500, 0.804)
Ga (0.692, 0.500, 0.196)
Ga (0.808, 0.000, 0.804)
Cu (0.000, 0.262, 0.500)
Cu (0.500, 0.762, 0.500)
Ag (0.000, 0.622, 0.000)
Ag (0.500, 0.122, 0.000)

Most intense lines, 5° ≤ 2θ ≤ 70°, low angle first:
two_theta, Rel. int.
27.6, 36
32.1, 76
38.7, 69
41.9, 76
42.3, 72
42.6, 38
42.7, 100
44.2, 50
51.8, 31
59.8, 24



Entry 4:
The following is a theoretical powder diffractogram of Ca3SnRh. It was derived from DFT lattice parameters and positions (GGA-PBE), using Cu Kα (weighted mean of Kα1 and Kα2).
Peak positions follow from Bragg's law for the DFT cell and can differ from measured ones.

Cell and atoms:
abc: 9.534 8.855 5.932
angles: 77.52 65.08 37.41
Element x y z (fractional)
Ca (0.197, 0.586, 0.414)
Ca (0.199, 0.199, 0.801)
Ca (0.414, 0.803, 0.197)
Ca (0.586, 0.197, 0.803)
Ca (0.801, 0.801, 0.199)
Ca (0.803, 0.414, 0.586)
Sn (0.210, 0.790, 0.790)
Sn (0.790, 0.210, 0.210)
Rh (0.250, 0.250, 0.250)
Rh (0.750, 0.750, 0.750)

Most intense lines, 5° ≤ 2θ ≤ 70°, low angle first:
two_theta, Rel. int.
21.2, 79
21.7, 30
31.0, 20
31.7, 18
34.1, 100
34.5, 56
36.8, 24
37.8, 44
43.1, 20
51.3, 21



Entry 5:
The following is a theoretical powder diffractogram of Ho2Ga7Ni. It was derived from DFT lattice parameters and positions (GGA-PBE), using Cu Kα (weighted mean of Kα1 and Kα2).
Peak positions follow from Bragg's law for the DFT cell and can differ from measured ones.

Cell and atoms:
abc: 4.140 4.140 10.728
angles: 90.00 90.00 90.00
Element x y z (fractional)
Ho (0.000, 0.500, 0.238)
Ho (0.500, 0.000, 0.762)
Ga (0.000, 0.000, 0.000)
Ga (0.000, 0.000, 0.500)
Ga (0.000, 0.500, 0.646)
Ga (0.000, 0.500, 0.873)
Ga (0.500, 0.000, 0.127)
Ga (0.500, 0.000, 0.354)
Ga (0.500, 0.500, 0.500)
Ni (0.500, 0.500, 0.000)

Most intense lines, 5° ≤ 2θ ≤ 70°, low angle first:
two_theta, Rel. int.
23.0, 7
30.5, 19
33.1, 61
34.9, 100
43.7, 52
47.7, 30
55.9, 30
60.7, 13
63.6, 17
66.7, 22



Entry 6:
The following is a theoretical powder diffractogram of CaAgIr2. It was derived from DFT lattice parameters and positions (GGA-PBE), using Cu Kα (weighted mean of Kα1 and Kα2).
Peak positions follow from Bragg's law for the DFT cell and can differ from measured ones.

Cell and atoms:
abc: 4.002 4.002 4.357
angles: 90.00 90.00 90.00
Element x y z (fractional)
Ca (0.000, 0.000, 0.000)
Ag (0.500, 0.500, 0.000)
Ir (0.000, 0.500, 0.500)
Ir (0.500, 0.000, 0.500)

Most intense lines, 5° ≤ 2θ ≤ 70°, low angle first:
two_theta, Rel. int.
20.4, 20
22.2, 3
31.6, 14
37.9, 100
41.4, 19
45.3, 30
50.2, 8
53.0, 7
63.1, 22
66.0, 10